1.
The following is a calculated powder X-ray diffraction pattern of Tb2CeSc. It was derived from a PBE-relaxed structure, using Cu Ka.

Crystal structure
```
data_Tb2CeSc
_chemical_formula_sum 'Tb2 Ce1 Sc1'
_cell_length_a 4.9078
_cell_length_b 4.9078
_cell_length_c 4.8808
_cell_angle_alpha 90.00
_cell_angle_beta 90.00
_cell_angle_gamma 90.00
_symmetry_space_group_name_H-M 'P 4/m m m'
_symmetry_Int_Tables_number 123
_symmetry_space_group_name_Hall '-P 4 2'
loop_
_atom_site_label
_atom_site_type_symbol
_atom_site_fract_x
_atom_site_fract_y
_atom_site_fract_z
Tb1 Tb 0.0000 0.5000 0.0000
Ce1 Ce 0.0000 0.0000 0.5000
Sc1 Sc 0.5000 0.5000 0.5000
```

Most intense lines, 10 to 90 degrees two-theta, by angle:
2theta	I_rel
18.07	7
18.18	6
25.71	12
31.63	100
36.62	34
36.83	17
52.76	12
52.91	23
62.83	28
63.11	14
66.07	12
86.71	11

2.
The following is a calculated powder X-ray diffraction pattern of Tb14CeSc. It was derived from a PBE-relaxed structure, using Cu Ka.

Crystal structure
```
data_Tb14CeSc
_chemical_formula_sum 'Tb14 Ce1 Sc1'
_cell_length_a 7.0813
_cell_length_b 7.0813
_cell_length_c 10.0020
_cell_angle_alpha 90.00
_cell_angle_beta 90.00
_cell_angle_gamma 90.00
_symmetry_space_group_name_H-M 'P 4/m m m'
_symmetry_Int_Tables_number 123
_symmetry_space_group_name_Hall '-P 4 2'
loop_
_atom_site_label
_atom_site_type_symbol
_atom_site_fract_x
_atom_site_fract_y
_atom_site_fract_z
Tb1 Tb 0.0000 0.0000 0.0000
Tb2 Tb 0.0000 0.5000 0.0000
Tb3 Tb 0.0000 0.5000 0.5000
Tb4 Tb 0.2494 0.2494 0.2534
Tb5 Tb 0.5000 0.5000 0.0000
Ce1 Ce 0.5000 0.5000 0.5000
Sc1 Sc 0.0000 0.0000 0.5000
```

Most intense lines, 10 to 90 degrees two-theta, by angle:
2theta	I_rel
19.83	1
26.72	1
30.95	100
35.88	51
51.65	36
61.44	42
64.49	12
76.03	4
76.14	2
84.35	18
87.04	11
87.14	5

3.
The following is a calculated powder X-ray diffraction pattern of Tb2CeTm4Sc. It was derived from a PBE-relaxed structure, using Cu Ka.

Crystal structure
```
data_Tb2CeTm4Sc
_chemical_formula_sum 'Tb2 Ce1 Tm4 Sc1'
_cell_length_a 4.9270
_cell_length_b 4.9270
_cell_length_c 9.8164
_cell_angle_alpha 90.00
_cell_angle_beta 90.00
_cell_angle_gamma 90.00
_symmetry_space_group_name_H-M 'P 4/m m m'
_symmetry_Int_Tables_number 123
_symmetry_space_group_name_Hall '-P 4 2'
loop_
_atom_site_label
_atom_site_type_symbol
_atom_site_fract_x
_atom_site_fract_y
_atom_site_fract_z
Tb1 Tb 0.0000 0.0000 0.0000
Tb2 Tb 0.5000 0.5000 0.0000
Ce1 Ce 0.0000 0.0000 0.5000
Tm1 Tm 0.0000 0.5000 0.2559
Sc1 Sc 0.5000 0.5000 0.5000
```

Most intense lines, 10 to 90 degrees two-theta, by angle:
2theta	I_rel
31.49	100
36.47	34
36.62	17
52.53	12
52.64	23
62.55	28
62.74	14
65.74	12
86.03	6
86.20	11
88.86	11
89.16	5

4.
The following is a calculated powder X-ray diffraction pattern of Ce2ScTe3. It was derived from a PBE-relaxed structure, using Cu Ka.

Crystal structure
```
data_Ce2ScTe3
_chemical_formula_sum 'Ce4 Sc2 Te6'
_cell_length_a 4.3172
_cell_length_b 6.2385
_cell_length_c 13.2917
_cell_angle_alpha 90.00
_cell_angle_beta 90.00
_cell_angle_gamma 90.00
_symmetry_space_group_name_H-M 'I m m m'
_symmetry_Int_Tables_number 71
_symmetry_space_group_name_Hall '-I 2 2'
loop_
_atom_site_label
_atom_site_type_symbol
_atom_site_fract_x
_atom_site_fract_y
_atom_site_fract_z
Ce1 Ce 0.0000 0.0000 0.1732
Sc1 Sc 0.0000 0.0000 0.5000
Te1 Te 0.0000 0.5000 0.1521
Te2 Te 0.0000 0.5000 0.5000
```

Most intense lines, 10 to 90 degrees two-theta, by angle:
2theta	I_rel
28.62	53
28.88	100
40.73	18
41.10	76
41.85	19
50.54	21
51.48	20
59.82	11
67.23	17
67.63	15
74.39	16
75.92	12

5.
The following is a calculated powder X-ray diffraction pattern of CeTh6Sc2. It was derived from a PBE-relaxed structure, using Cu Ka.

Crystal structure
```
data_CeTh6Sc2
_chemical_formula_sum 'Ce2 Th12 Sc4'
_cell_length_a 6.0048
_cell_length_b 10.5041
_cell_length_c 8.5976
_cell_angle_alpha 90.00
_cell_angle_beta 90.00
_cell_angle_gamma 90.00
_symmetry_space_group_name_H-M 'C 2 2 2'
_symmetry_Int_Tables_number 21
loop_
_symmetry_equiv_pos_as_xyz
'x,y,z'
'-x,-y,z'
'x,-y,-z'
'-x,y,-z'
'x+1/2,y+1/2,z'
'-x+1/2,-y+1/2,z'
'x+1/2,-y+1/2,-z'
'-x+1/2,y+1/2,-z'
loop_
_atom_site_label
_atom_site_type_symbol
_atom_site_fract_x
_atom_site_fract_y
_atom_site_fract_z
Ce1 Ce 0.0000 0.0000 0.0000
Th1 Th 0.0000 0.3298 0.0000
Th2 Th 0.2377 0.0869 0.3367
Sc1 Sc 0.2500 0.2500 0.6725
```

Most intense lines, 10 to 90 degrees two-theta, by angle:
2theta	I_rel
19.92	31
26.87	21
29.53	19
31.21	59
31.35	100
31.56	55
36.32	70
36.50	35
52.21	24
53.82	21
57.18	19
70.39	23

6.
The following is a calculated powder X-ray diffraction pattern of CeTh2Sc5. It was derived from a PBE-relaxed structure, using Cu Ka.

Crystal structure
```
data_CeTh2Sc5
_chemical_formula_sum 'Ce2 Th4 Sc10'
_cell_length_a 9.2627
_cell_length_b 13.6041
_cell_length_c 3.4215
_cell_angle_alpha 90.00
_cell_angle_beta 90.00
_cell_angle_gamma 90.00
_symmetry_space_group_name_H-M 'C m m m'
_symmetry_Int_Tables_number 65
_symmetry_space_group_name_Hall '-C 2 2'
loop_
_atom_site_label
_atom_site_type_symbol
_atom_site_fract_x
_atom_site_fract_y
_atom_site_fract_z
Ce1 Ce 0.0000 0.0000 0.0000
Th1 Th 0.0000 0.2492 0.0000
Sc1 Sc 0.0000 0.5000 0.0000
Sc2 Sc 0.2470 0.3774 0.5000
```

Most intense lines, 10 to 90 degrees two-theta, by angle:
2theta	I_rel
13.02	40
19.16	54
26.04	27
26.20	26
32.54	100
32.67	99
37.28	69
38.89	31
42.24	31
54.97	45
64.17	28
64.41	27